(1)
Diffraction record for Y5Zr3Ni16As12. The X-ray powder pattern is simulated, not measured: it uses a GGA-PBE-relaxed structure and λ = 1.5418 Å (Cu Kα).
Neutral-atom scattering factors, no anomalous dispersion.

Structure:
```
data_Y5Zr3Ni16As12
_cell_length_a 12.8368
_cell_length_b 12.8368
_cell_length_c 3.9394
_cell_angle_alpha 90.00
_cell_angle_beta 90.00
_cell_angle_gamma 120.00
_symmetry_space_group_name_H-M 'P -6 2 m'
_symmetry_Int_Tables_number 189
_symmetry_space_group_name_Hall 'P -6 -2'
loop_
_atom_site_label
_atom_site_type_symbol
_atom_site_fract_x
_atom_site_fract_y
_atom_site_fract_z
Y1 Y 0.0000 0.8178 0.0000
Y2 Y 0.3333 0.6667 0.5000
Zr1 Zr 0.0000 0.4377 0.5000
Ni1 Ni 0.0000 0.0000 0.5000
Ni2 Ni 0.0000 0.2770 0.0000
Ni3 Ni 0.1210 0.6395 0.0000
Ni4 Ni 0.1821 0.3747 0.5000
As1 As 0.0000 0.1782 0.5000
As2 As 0.0000 0.6451 0.5000
As3 As 0.1719 0.4794 0.0000
```

Main lines, by angle (10 to 90 degrees two-theta):
| d (Å) | 2θ/deg | intensity | index |
| --- | --- | --- | --- |
| 2.488 | 36.1 | 100 | 2 2 1 |
| 2.428 | 37.0 | 82 | 3 1 1 |
| 1.970 | 46.1 | 44 | 0 0 2 |
| 1.936 | 46.9 | 27 | 5 0 1 |
| 1.853 | 49.2 | 35 | 6 0 0 |
| 1.350 | 69.7 | 23 | 6 0 2 |

=====

(2)
Diffraction record for Zr2NiAs2. The X-ray powder pattern is simulated, not measured: it uses a GGA-PBE-relaxed structure and λ = 1.5418 Å (Cu Kα).
Neutral-atom scattering factors, no anomalous dispersion.

Structure:
```
data_Zr2NiAs2
_cell_length_a 3.9498
_cell_length_b 3.9498
_cell_length_c 13.1645
_cell_angle_alpha 90.00
_cell_angle_beta 90.00
_cell_angle_gamma 120.00
_symmetry_space_group_name_H-M 'P 63/m m c'
_symmetry_Int_Tables_number 194
_symmetry_space_group_name_Hall '-P 6c 2c'
loop_
_atom_site_label
_atom_site_type_symbol
_atom_site_fract_x
_atom_site_fract_y
_atom_site_fract_z
Zr1 Zr 0.3333 0.6667 0.1115
Ni1 Ni 0.0000 0.0000 0.2500
As1 As 0.0000 0.0000 0.0000
As2 As 0.3333 0.6667 0.7500
```

Main lines, by angle (10 to 90 degrees two-theta):
| d (Å) | 2θ/deg | intensity | index |
| --- | --- | --- | --- |
| 2.698 | 33.2 | 100 | 1 0 3 |
| 2.372 | 37.9 | 60 | 1 0 4 |
| 2.086 | 43.4 | 17 | 1 0 5 |
| 1.975 | 46.0 | 77 | 1 1 0 |
| 1.594 | 57.9 | 20 | 2 0 3 |
| 1.264 | 75.1 | 29 | 1 1 8 |

=====

Repeat the first record exactly.
Diffraction record for Y5Zr3Ni16As12. The X-ray powder pattern is simulated, not measured: it uses a GGA-PBE-relaxed structure and λ = 1.5418 Å (Cu Kα).
Neutral-atom scattering factors, no anomalous dispersion.

Structure:
```
data_Y5Zr3Ni16As12
_cell_length_a 12.8368
_cell_length_b 12.8368
_cell_length_c 3.9394
_cell_angle_alpha 90.00
_cell_angle_beta 90.00
_cell_angle_gamma 120.00
_symmetry_space_group_name_H-M 'P -6 2 m'
_symmetry_Int_Tables_number 189
_symmetry_space_group_name_Hall 'P -6 -2'
loop_
_atom_site_label
_atom_site_type_symbol
_atom_site_fract_x
_atom_site_fract_y
_atom_site_fract_z
Y1 Y 0.0000 0.8178 0.0000
Y2 Y 0.3333 0.6667 0.5000
Zr1 Zr 0.0000 0.4377 0.5000
Ni1 Ni 0.0000 0.0000 0.5000
Ni2 Ni 0.0000 0.2770 0.0000
Ni3 Ni 0.1210 0.6395 0.0000
Ni4 Ni 0.1821 0.3747 0.5000
As1 As 0.0000 0.1782 0.5000
As2 As 0.0000 0.6451 0.5000
As3 As 0.1719 0.4794 0.0000
```

Main lines, by angle (10 to 90 degrees two-theta):
| d (Å) | 2θ/deg | intensity | index |
| --- | --- | --- | --- |
| 2.488 | 36.1 | 100 | 2 2 1 |
| 2.428 | 37.0 | 82 | 3 1 1 |
| 1.970 | 46.1 | 44 | 0 0 2 |
| 1.936 | 46.9 | 27 | 5 0 1 |
| 1.853 | 49.2 | 35 | 6 0 0 |
| 1.350 | 69.7 | 23 | 6 0 2 |